Starting from a crystal structure in Alexandria, relaxed with PBE+U, the powder diffraction line list of Li4MnCo2O7 was calculated for Cu Kα.
Lines closer than 0.1° are merged.

Peak list (8 most intense, 10° ≤ 2θ ≤ 90°, sorted by position)
two_theta, I (rel.), hkl
13.3, 9, 0 0 2
18.5, 100, 0 1 -2
35.7, 13, 1 0 2
36.8, 24, 0 2 3
43.0, 26, 1 -1 4
44.5, 26, 1 0 -5
44.8, 25, 0 3 1
64.0, 13, -2 1 1

Structural model:
```
data_Li4MnCo2O7
_chemical_formula_sum 'Li8 Mn2 Co4 O14'
_symmetry_space_group_name_H-M 'P -1'
_symmetry_Int_Tables_number 2
_cell_length_a 2.911
_cell_length_b 6.431
_cell_length_c 13.401
_cell_angle_alpha 94.49
_cell_angle_beta 94.35
_cell_angle_gamma 103.07
loop_
_symmetry_equiv_pos_as_xyz
'x,y,z'
'-x,-y,-z'
loop_
_atom_site_label
_atom_site_fract_x
_atom_site_fract_y
_atom_site_fract_z
Li1 0.000 0.000 0.000
Li2 0.041 0.935 0.206
Li3 0.243 0.782 0.646
Li4 0.353 0.659 0.069
Li5 0.500 0.500 0.500
Mn1 0.118 0.856 0.424
Co1 0.300 0.719 0.863
Co2 0.390 0.572 0.279
O1 0.086 0.455 0.623
O2 0.134 0.412 0.816
O3 0.178 0.324 0.049
O4 0.232 0.272 0.235
O5 0.285 0.172 0.466
O6 0.463 0.005 0.890
O7 0.470 0.120 0.681
```